Entry 1:
Simulated powder diffractogram
Compound: LaCoGe
Radiation: Cu Ka
Structure: DFT lattice parameters and positions (GGA-PBE)

Structure:
abc: 4.1894 4.1894 7.0589
angles: 90.00 90.00 90.00
Positions (direct):
1 La 0.2500 0.2500 0.1894
2 La 0.7500 0.7500 0.8106
3 Co 0.2500 0.7500 0.5000
4 Co 0.7500 0.2500 0.5000
5 Ge 0.2500 0.2500 0.6762
6 Ge 0.7500 0.7500 0.3238

Largest 10 diffraction maxima, low angle first, 2θ = 10–90°:
2θ/deg	d (Å)	I_rel
24.7	3.603	29
30.2	2.962	55
32.8	2.732	25
33.2	2.699	92
39.7	2.269	100
43.2	2.095	69
55.5	1.655	42
56.6	1.626	36
73.8	1.285	33
76.9	1.240	27

Entry 2:
Simulated powder diffractogram
Compound: YSi2Ir2
Radiation: Cu Ka
Structure: DFT lattice parameters and positions (GGA-PBE)

Structure:
abc: 5.7870 5.7870 5.7870
angles: 137.56 137.56 61.58
Positions (direct):
1 Y 0.0000 0.0000 0.0000
2 Si 0.2500 0.7500 0.5000
3 Si 0.7500 0.2500 0.5000
4 Ir 0.3688 0.3688 0.0000
5 Ir 0.6312 0.6312 0.0000

Largest 10 diffraction maxima, low angle first, 2θ = 10–90°:
2θ/deg	d (Å)	I_rel
23.0	3.861	50
30.2	2.963	80
34.5	2.599	100
43.2	2.095	49
47.8	1.904	31
50.8	1.796	20
56.4	1.631	49
62.7	1.481	16
68.9	1.364	16
89.3	1.097	14

Entry 3:
Simulated powder diffractogram
Compound: TmB4Rh4
Radiation: Cu Ka
Structure: DFT lattice parameters and positions (GGA-PBE)

Structure:
abc: 11.7926 11.7926 7.5208
angles: 90.00 90.00 142.80
Positions (direct):
1 Tm 0.0838 0.9162 0.7500
2 Tm 0.2500 0.7500 0.2500
3 Tm 0.4162 0.5838 0.7500
4 Tm 0.5838 0.4162 0.2500
5 Tm 0.7500 0.2500 0.7500
6 Tm 0.9162 0.0838 0.2500
7 B 0.0044 0.7255 0.4243
8 B 0.0526 0.6610 0.5866
9 B 0.1418 0.1993 0.8887
10 B 0.1610 0.5526 0.9134
11 B 0.1993 0.1418 0.3887
12 B 0.2255 0.5044 0.0757
13 B 0.2745 0.9956 0.0757
14 B 0.3007 0.3582 0.3887
15 B 0.3390 0.9474 0.9134
16 B 0.3582 0.3007 0.8887
17 B 0.4474 0.8390 0.5866
18 B 0.4956 0.7745 0.4243
19 B 0.5044 0.2255 0.5757
20 B 0.5526 0.1610 0.4134
21 B 0.6418 0.6993 0.1113
22 B 0.6610 0.0526 0.0866
23 B 0.6993 0.6418 0.6113
24 B 0.7255 0.0044 0.9243
25 B 0.7745 0.4956 0.9243
26 B 0.8007 0.8582 0.6113
27 B 0.8390 0.4474 0.0866
28 B 0.8582 0.8007 0.1113
29 B 0.9474 0.3390 0.4134
30 B 0.9956 0.2745 0.5757
31 Rh 0.0288 0.2791 0.8628
32 Rh 0.0565 0.6409 0.8761
33 Rh 0.0746 0.1567 0.5952
34 Rh 0.1409 0.5565 0.6239
35 Rh 0.1567 0.0746 0.0952
36 Rh 0.2209 0.4712 0.3628
37 Rh 0.2791 0.0288 0.3628
38 Rh 0.3433 0.4254 0.0952
39 Rh 0.3591 0.9435 0.6239
40 Rh 0.4254 0.3433 0.5952
41 Rh 0.4435 0.8591 0.8761
42 Rh 0.4712 0.2209 0.8628
43 Rh 0.5288 0.7791 0.1372
44 Rh 0.5565 0.1409 0.1239
45 Rh 0.5746 0.6567 0.4048
46 Rh 0.6409 0.0565 0.3761
47 Rh 0.6567 0.5746 0.9048
48 Rh 0.7209 0.9712 0.6372
49 Rh 0.7791 0.5288 0.6372
50 Rh 0.8433 0.9254 0.9048
51 Rh 0.8591 0.4435 0.3761
52 Rh 0.9254 0.8433 0.4048
53 Rh 0.9435 0.3591 0.1239
54 Rh 0.9712 0.7209 0.1372

Largest 10 diffraction maxima, low angle first, 2θ = 10–90°:
2θ/deg	d (Å)	I_rel
31.0	2.882	24
33.3	2.688	29
33.9	2.647	21
38.9	2.316	20
39.8	2.266	100
40.1	2.250	41
42.0	2.149	12
64.4	1.447	11
64.6	1.443	15
71.3	1.323	23

Entry 4:
Simulated powder diffractogram
Compound: CsEuCl3
Radiation: Cu Ka
Structure: DFT lattice parameters and positions (GGA-PBE)

Structure:
abc: 8.1937 11.1912 7.8813
angles: 90.00 90.00 90.00
Positions (direct):
1 Cs 0.0581 0.2500 0.0175
2 Cs 0.4419 0.7500 0.5175
3 Cs 0.5581 0.2500 0.4825
4 Cs 0.9419 0.7500 0.9825
5 Eu 0.0000 0.0000 0.5000
6 Eu 0.0000 0.5000 0.5000
7 Eu 0.5000 0.0000 0.0000
8 Eu 0.5000 0.5000 0.0000
9 Cl 0.0201 0.7500 0.4194
10 Cl 0.2080 0.5412 0.7948
11 Cl 0.2080 0.9588 0.7948
12 Cl 0.2920 0.0412 0.2948
13 Cl 0.2920 0.4588 0.2948
14 Cl 0.4799 0.2500 0.9194
15 Cl 0.5201 0.7500 0.0806
16 Cl 0.7080 0.5412 0.7052
17 Cl 0.7080 0.9588 0.7052
18 Cl 0.7920 0.0412 0.2052
19 Cl 0.7920 0.4588 0.2052
20 Cl 0.9799 0.2500 0.5806

Largest 10 diffraction maxima, low angle first, 2θ = 10–90°:
2θ/deg	d (Å)	I_rel
21.7	4.097	23
22.3	3.986	100
22.6	3.941	24
31.5	2.840	39
32.0	2.798	23
38.4	2.343	17
39.0	2.310	14
39.5	2.283	46
45.5	1.993	23
51.6	1.772	11

Entry 5:
Simulated powder diffractogram
Compound: Sc3Ga5
Radiation: Cu Ka
Structure: DFT lattice parameters and positions (GGA-PBE)

Structure:
abc: 10.9113 9.3240 5.7751
angles: 90.00 90.00 90.00
Positions (direct):
1 Sc 0.0672 0.2500 0.1533
2 Sc 0.1457 0.5083 0.6087
3 Sc 0.1457 0.9917 0.6087
4 Sc 0.3543 0.0083 0.1087
5 Sc 0.3543 0.4917 0.1087
6 Sc 0.4328 0.7500 0.6533
7 Sc 0.5672 0.2500 0.3467
8 Sc 0.6457 0.5083 0.8913
9 Sc 0.6457 0.9917 0.8913
10 Sc 0.8543 0.0083 0.3913
11 Sc 0.8543 0.4917 0.3913
12 Sc 0.9328 0.7500 0.8467
13 Ga 0.0096 0.2500 0.6219
14 Ga 0.0932 0.5472 0.1268
15 Ga 0.0932 0.9528 0.1268
16 Ga 0.2035 0.7500 0.8805
17 Ga 0.2484 0.2500 0.8360
18 Ga 0.2516 0.7500 0.3360
19 Ga 0.2965 0.2500 0.3805
20 Ga 0.4068 0.0472 0.6268
21 Ga 0.4068 0.4528 0.6268
22 Ga 0.4904 0.7500 0.1219
23 Ga 0.5096 0.2500 0.8781
24 Ga 0.5932 0.5472 0.3732
25 Ga 0.5932 0.9528 0.3732
26 Ga 0.7035 0.7500 0.6195
27 Ga 0.7484 0.2500 0.6640
28 Ga 0.7516 0.7500 0.1640
29 Ga 0.7965 0.2500 0.1195
30 Ga 0.9068 0.0472 0.8732
31 Ga 0.9068 0.4528 0.8732
32 Ga 0.9904 0.7500 0.3781

Largest 10 diffraction maxima, low angle first, 2θ = 10–90°:
2θ/deg	d (Å)	I_rel
33.5	2.674	19
34.9	2.568	36
36.4	2.466	27
37.6	2.395	100
38.2	2.354	83
38.6	2.331	61
39.9	2.261	79
43.6	2.077	58
44.2	2.050	20
56.7	1.623	31

Entry 6:
Simulated powder diffractogram
Compound: AgGeO3
Radiation: Cu Ka
Structure: DFT lattice parameters and positions (GGA-PBE)

Structure:
abc: 7.1394 2.9930 5.3250
angles: 90.00 90.00 90.00
Positions (direct):
1 Ag 0.2500 0.0000 0.0217
2 Ag 0.7500 0.0000 0.9783
3 Ge 0.0000 0.5000 0.5000
4 Ge 0.5000 0.5000 0.5000
5 O 0.0302 0.0000 0.7398
6 O 0.2500 0.5000 0.4038
7 O 0.4698 0.0000 0.7398
8 O 0.5302 0.0000 0.2602
9 O 0.7500 0.5000 0.5962
10 O 0.9698 0.0000 0.2602

Largest 10 diffraction maxima, low angle first, 2θ = 10–90°:
2θ/deg	d (Å)	I_rel
30.1	2.965	100
33.7	2.662	30
34.4	2.609	91
39.3	2.294	32
51.2	1.785	18
52.7	1.738	55
58.0	1.589	15
60.7	1.527	15
63.1	1.473	29
70.5	1.336	17